(1)
For ZnCu2GeS4, a cell relaxed with GGA-PBE gives the calculated powder XRD pattern in this record (CuKα).
Kinematic intensities with the Lorentz-polarization factor, no thermal factor.

Crystal structure
```
data_ZnCu2GeS4
_chemical_formula_sum 'Zn2 Cu4 Ge2 S8'
_space_group_name_H-M_alt 'P m n 21'
_space_group_IT_number 31
_space_group_name_Hall 'P 2ac -2'
_cell_length_a 7.499
_cell_length_b 6.543
_cell_length_c 6.223
_cell_angle_alpha 90.00
_cell_angle_beta 90.00
_cell_angle_gamma 90.00
loop_
_atom_site_label
_atom_site_fract_x
_atom_site_fract_y
_atom_site_fract_z
_atom_site_occupancy
Zn1 0.000 0.157 0.000 1
Cu1 0.249 0.328 0.508 1
Ge1 0.000 0.833 0.500 1
S1 0.000 0.160 0.381 1
S2 0.000 0.821 0.866 1
S3 0.244 0.661 0.376 1
```

Top 10 peaks for 10 to 90 degrees two-theta, by angle:
2θ/deg	intensity
27.3	41
27.4	84
28.7	80
30.9	47
31.0	95
40.1	32
48.3	63
48.6	32
52.3	100
57.1	41

(2)
For Sc3CuGe2, a cell relaxed with GGA-PBE gives the calculated powder XRD pattern in this record (CuKα).
Kinematic intensities with the Lorentz-polarization factor, no thermal factor.

Crystal structure
```
data_Sc3CuGe2
_chemical_formula_sum 'Sc12 Cu4 Ge8'
_space_group_name_H-M_alt 'P n m a'
_space_group_IT_number 62
_space_group_name_Hall '-P 2ac 2n'
_cell_length_a 10.776
_cell_length_b 4.047
_cell_length_c 10.512
_cell_angle_alpha 90.00
_cell_angle_beta 90.00
_cell_angle_gamma 90.00
loop_
_atom_site_label
_atom_site_fract_x
_atom_site_fract_y
_atom_site_fract_z
_atom_site_occupancy
Sc1 0.052 0.250 0.123 1
Sc2 0.130 0.750 0.567 1
Sc3 0.215 0.250 0.804 1
Cu1 0.132 0.250 0.367 1
Ge1 0.013 0.750 0.315 1
Ge2 0.187 0.750 0.007 1
```

Top 10 peaks for 10 to 90 degrees two-theta, by angle:
2θ/deg	intensity
23.6	24
26.8	27
32.5	37
33.8	44
37.6	100
41.2	48
43.9	27
44.4	31
44.8	50
50.3	28

(3)
For ScCuGe, a cell relaxed with GGA-PBE gives the calculated powder XRD pattern in this record (CuKα).
Kinematic intensities with the Lorentz-polarization factor, no thermal factor.

Crystal structure
```
data_ScCuGe
_chemical_formula_sum 'Sc2 Cu2 Ge2'
_space_group_name_H-M_alt 'P m m m'
_space_group_IT_number 47
_space_group_name_Hall '-P 2 2'
_cell_length_a 3.299
_cell_length_b 4.140
_cell_length_c 7.352
_cell_angle_alpha 90.00
_cell_angle_beta 90.00
_cell_angle_gamma 90.00
loop_
_atom_site_label
_atom_site_fract_x
_atom_site_fract_y
_atom_site_fract_z
_atom_site_occupancy
Sc1 0.000 0.000 0.000 1
Sc2 0.000 0.500 0.500 1
Cu1 0.500 0.000 0.336 1
Ge1 0.500 0.500 0.174 1
```

Top 10 peaks for 10 to 90 degrees two-theta, by angle:
2θ/deg	intensity
27.0	43
36.6	57
36.9	100
42.9	88
43.7	41
51.4	29
55.7	19
58.3	27
72.8	33
73.4	16

(4)
For CuGe3Se4, a cell relaxed with GGA-PBE gives the calculated powder XRD pattern in this record (CuKα).
Kinematic intensities with the Lorentz-polarization factor, no thermal factor.

Crystal structure
```
data_CuGe3Se4
_chemical_formula_sum 'Cu2 Ge6 Se8'
_space_group_name_H-M_alt 'P m n 21'
_space_group_IT_number 31
_space_group_name_Hall 'P 2ac -2'
_cell_length_a 10.513
_cell_length_b 5.857
_cell_length_c 5.939
_cell_angle_alpha 90.00
_cell_angle_beta 90.00
_cell_angle_gamma 90.00
loop_
_atom_site_label
_atom_site_fract_x
_atom_site_fract_y
_atom_site_fract_z
_atom_site_occupancy
Cu1 0.000 0.184 0.000 1
Ge1 0.000 0.788 0.457 1
Ge2 0.250 0.290 0.465 1
Se1 0.000 0.238 0.403 1
Se2 0.000 0.781 0.898 1
Se3 0.231 0.277 0.900 1
```

Top 10 peaks for 10 to 90 degrees two-theta, by angle:
2θ/deg	intensity
22.7	23
27.3	30
30.1	100
30.5	96
34.1	88
43.4	59
46.1	57
46.4	56
51.8	36
56.3	50